Theoretical XRD peak list of Mn3Fe2Sb3O16 for Cu Kα X-rays, from a PBE+U-relaxed structure.
Intensities are scaled so that the largest is 100.

Crystal structure
```
data_Mn3Fe2Sb3O16
_cell_length_a 10.5859
_cell_length_b 6.0295
_cell_length_c 9.1379
_cell_angle_alpha 90.00
_cell_angle_beta 90.61
_cell_angle_gamma 90.00
_symmetry_space_group_name_H-M 'C 1 m 1'
_symmetry_Int_Tables_number 8
_symmetry_space_group_name_Hall 'C -2y'
loop_
_atom_site_label
_atom_site_type_symbol
_atom_site_fract_x
_atom_site_fract_y
_atom_site_fract_z
Mn1 Mn 0.0000 0.0000 0.0000
Mn2 Mn 0.4162 0.2478 0.4963
Fe1 Fe 0.1563 0.0000 0.2845
Fe2 Fe 0.4865 0.0000 0.7766
Sb1 Sb 0.1648 0.5000 0.4978
Sb2 Sb 0.2481 0.2474 0.9975
O1 O 0.0655 0.2806 0.6210
O2 O 0.0929 0.2164 0.1210
O3 O 0.1647 0.5000 0.8810
O4 O 0.1773 0.0000 0.8736
O5 O 0.2480 0.2511 0.3903
O6 O 0.3113 0.0000 0.1302
O7 O 0.3202 0.5000 0.1120
O8 O 0.3370 0.5000 0.6001
O9 O 0.3547 0.0000 0.6129
O10 O 0.4118 0.2525 0.8905
O11 O 0.4932 0.0000 0.3866
O12 O 0.4938 0.5000 0.3913
```

Main lines, most intense first (2θ from 15° to 90°):
2θ = 19.4°, intensity 100.0, (0 0 2); 2θ = 35.6°, intensity 30.8, (2 2 -1); 2θ = 35.7°, intensity 28.6, (2 2 1); 2θ = 19.6°, intensity 26.7, (1 1 1); 2θ = 35.2°, intensity 22.3, (4 0 -1); 2θ = 60.8°, intensity 19.8, (6 2 0); 2θ = 45.6°, intensity 16.0, (2 2 -3); 2θ = 45.8°, intensity 15.7, (2 2 3); 2θ = 25.8°, intensity 14.4, (2 0 2); 2θ = 62.1°, intensity 14.1, (4 0 5)